PuMo2N3: theoretical powder diffraction line list (a wavelength of 1.5418 Å), based on DFT lattice parameters and positions (PBE).
Kinematic intensities with the Lorentz-polarization factor, no thermal factor.

Cell and atoms:
abc: 5.4727 3.0410 8.5190
angles: 90.00 102.17 90.00
Positions (direct):
1 Pu 0.0261 0.2500 0.3194
2 Pu 0.9739 0.7500 0.6806
3 Mo 0.2851 0.2500 0.0021
4 Mo 0.4714 0.2500 0.6610
5 Mo 0.5286 0.7500 0.3390
6 Mo 0.7149 0.7500 0.9979
7 N 0.1534 0.7500 0.1409
8 N 0.2784 0.7500 0.5054
9 N 0.3833 0.7500 0.8289
10 N 0.6167 0.2500 0.1711
11 N 0.7216 0.2500 0.4946
12 N 0.8466 0.2500 0.8591

Main lines, by intensity (15 to 90 degrees two-theta):
Position (°2θ)	I (rel.)
36.72	100
32.25	85
38.38	83
35.87	54
37.42	45
34.51	40
59.05	40
59.29	31
16.57	30
42.36	27
44.81	25
33.50	23


La2Sb2Au: theoretical powder diffraction line list (a wavelength of 1.5418 Å), based on DFT lattice parameters and positions (PBE).
Kinematic intensities with the Lorentz-polarization factor, no thermal factor.

Cell and atoms:
abc: 9.0186 9.0186 9.0186
angles: 152.74 152.74 38.94
Positions (direct):
1 La 0.0993 0.0993 0.0000
2 La 0.9007 0.9007 0.0000
3 Sb 0.2500 0.7500 0.5000
4 Sb 0.7500 0.2500 0.5000
5 Au 0.5000 0.5000 0.0000

Main lines, by intensity (15 to 90 degrees two-theta):
Position (°2θ)	I (rel.)
31.57	100
33.75	63
42.53	48
26.20	42
55.37	31
61.72	26
62.78	24
70.99	22
36.61	16
50.65	14
42.88	12
20.89	11


Tb12NdY2: theoretical powder diffraction line list (a wavelength of 1.5418 Å), based on DFT lattice parameters and positions (PBE).
Kinematic intensities with the Lorentz-polarization factor, no thermal factor.

Cell and atoms:
abc: 6.6574 6.6574 24.4329
angles: 92.28 92.28 114.92
Positions (direct):
1 Tb 0.0494 0.5519 0.2021
2 Tb 0.0838 0.5830 0.3301
3 Tb 0.1366 0.6378 0.5554
4 Tb 0.1425 0.1425 0.5744
5 Tb 0.2153 0.2153 0.8623
6 Tb 0.2315 0.7317 0.9254
7 Tb 0.2683 0.7685 0.0746
8 Tb 0.2850 0.2850 0.1390
9 Tb 0.3587 0.3587 0.4254
10 Tb 0.3622 0.8634 0.4446
11 Tb 0.4170 0.9162 0.6699
12 Tb 0.4481 0.9506 0.7979
13 Tb 0.5519 0.0494 0.2021
14 Tb 0.5830 0.0838 0.3301
15 Tb 0.6378 0.1366 0.5554
16 Tb 0.6413 0.6413 0.5746
17 Tb 0.7150 0.7150 0.8610
18 Tb 0.7317 0.2315 0.9254
19 Tb 0.7685 0.2683 0.0746
20 Tb 0.7847 0.7847 0.1377
21 Tb 0.8575 0.8575 0.4256
22 Tb 0.8634 0.3622 0.4446
23 Tb 0.9162 0.4170 0.6699
24 Tb 0.9506 0.4481 0.7979
25 Nd 0.2501 0.2501 0.0005
26 Nd 0.7499 0.7499 0.9995
27 Y 0.0682 0.0682 0.2727
28 Y 0.4308 0.4308 0.7273
29 Y 0.5692 0.5692 0.2727
30 Y 0.9318 0.9318 0.7273

Main lines, by intensity (15 to 90 degrees two-theta):
Position (°2θ)	I (rel.)
31.89	100
32.32	90
30.21	89
31.01	66
33.47	51
32.14	49
30.11	44
45.91	36
36.00	33
61.43	31
51.01	27
59.69	27


Sn4HgSb5: theoretical powder diffraction line list (a wavelength of 1.5418 Å), based on DFT lattice parameters and positions (PBE).
Kinematic intensities with the Lorentz-polarization factor, no thermal factor.

Cell and atoms:
abc: 21.5429 21.5429 21.5429
angles: 12.15 12.15 12.15
Positions (direct):
1 Sn 0.0000 0.0000 0.0000
2 Sn 0.1886 0.1886 0.1886
3 Sn 0.4001 0.4001 0.4001
4 Sn 0.5956 0.5956 0.5956
5 Hg 0.7988 0.7988 0.7988
6 Sb 0.1441 0.1441 0.1441
7 Sb 0.3545 0.3545 0.3545
8 Sb 0.5418 0.5418 0.5418
9 Sb 0.7530 0.7530 0.7530
10 Sb 0.9496 0.9496 0.9496

Main lines, by intensity (15 to 90 degrees two-theta):
Position (°2θ)	I (rel.)
23.57	100
39.52	59
36.07	46
20.77	31
45.05	25
46.52	16
41.99	16
54.57	14
69.44	14
62.64	14
71.68	12
73.37	7